The following is a calculated powder XRD pattern of Hf3NbPd2. It was derived from a crystal structure in Alexandria, relaxed with GGA-PBE, using λ = 1.5418 Å (Cu Kα).
Lines closer than 0.1° are merged.

The 10 most intense peaks (2θ = 10–90°), in order of rising 2θ:
2theta	Rel. int.	(hkl)
27.48	71	1 0 0
37.35	1000	1 0 3
39.26	437	1 1 0
50.86	104	0 0 6
56.72	149	2 0 0
66.08	186	1 1 6
69.90	317	2 1 3
79.64	111	2 0 6
84.41	48	2 2 0
86.71	89	1 0 9

Crystal structure
Cell lengths 3.2457, 3.2457, 10.7713 Å; angles 90.00, 90.00, 90.00 degrees
Positions (direct):
Hf: 0.0000 0.0000 0.0000
Hf: 0.0000 0.0000 0.3288
Hf: 0.0000 0.0000 0.6712
Nb: 0.5000 0.5000 0.5000
Pd: 0.5000 0.5000 0.1670
Pd: 0.5000 0.5000 0.8330